This entry pairs a crystal structure of PmTm6Th with its simulated powder diffraction line list. Radiation: Cu Ka. Structure: DFT lattice parameters and positions (PBE).
Peak positions follow from Bragg's law for the DFT cell and can differ from measured ones.

Largest 10 diffraction maxima, sorted by position, 2θ = 10–90°:
d = 4.453 Å, 2θ = 19.94°, I 1, (1 0 1); d = 2.875 Å, 2θ = 31.11°, I 100, (1 1 2); d = 2.490 Å, 2θ = 36.08°, I 51, (2 0 0); d = 2.415 Å, 2θ = 37.23°, I 1, (1 1 3); d = 1.760 Å, 2θ = 51.94°, I 36, (2 2 0); d = 1.501 Å, 2θ = 61.79°, I 43, (3 1 2); d = 1.437 Å, 2θ = 64.87°, I 12, (2 2 4); d = 1.245 Å, 2θ = 76.53°, I 6, (4 0 0); d = 1.142 Å, 2θ = 84.89°, I 18, (3 3 2); d = 1.113 Å, 2θ = 87.64°, I 17, (4 2 0)

Structure:
abc: 4.978 4.978 9.965
angles: 90.00 90.00 90.00
Atoms (fractional coordinates):
Pm 0.000 0.000 0.000
Tm 0.000 0.500 0.253
Tm 0.000 0.500 0.747
Tm 0.500 0.000 0.253
Tm 0.500 0.000 0.747
Tm 0.500 0.500 0.000
Tm 0.500 0.500 0.500
Th 0.000 0.000 0.500